Calculated X-ray powder pattern
Compound: DyYNi2P2
Radiation: Cu Kα (weighted mean of Kα1 and Kα2)
Structure: a PBE-relaxed structure
Peak positions follow from Bragg's law for the DFT cell and can differ from measured ones.

Structural model:
a b c (Å): 3.9005 3.9005 15.4924
angles (deg): 90.00 90.00 120.00
Fractional positions:
Dy: 0.0000 0.0000 0.0000
Dy: 0.0000 0.0000 0.5000
Y: 0.0000 0.0000 0.2500
Y: 0.0000 0.0000 0.7500
Ni: 0.3333 0.6667 0.1279
Ni: 0.3333 0.6667 0.3721
Ni: 0.6667 0.3333 0.6279
Ni: 0.6667 0.3333 0.8721
P: 0.3333 0.6667 0.6229
P: 0.3333 0.6667 0.8771
P: 0.6667 0.3333 0.1229
P: 0.6667 0.3333 0.3771

Principal peaks in the range 15° ≤ 2θ ≤ 90°, by intensity:
- 2θ 35.26, I 100.0
- 2θ 46.57, I 36.4
- 2θ 68.25, I 22.2
- 2θ 59.73, I 21.1
- 2θ 26.39, I 20.9
- 2θ 78.96, I 18.7
- 2θ 46.92, I 11.8
- 2θ 79.47, I 9.2